The following is a computed X-ray diffraction stick pattern of PdBr4N2. It was derived from a DFT-relaxed cell (PBE, Alexandria), using Cu Kα.
Peak positions follow from Bragg's law for the DFT cell and can differ from measured ones.

Main lines, in order of rising 2θ (2θ = 10–80°):
2θ (°), intensity, (hkl)
10.25, 37, 0 0 1
15.15, 100, 0 1 1
17.70, 88, 0 1 -1
26.04, 60, 0 1 -2
27.04, 29, 1 0 1
29.42, 28, 0 2 -1
31.20, 26, -1 1 1
35.41, 20, -1 1 2
36.47, 28, 1 2 2
39.82, 25, 1 0 -3

Structure:
```
PdBr4N2
1.0
3.664 0.000 0.000
1.402 6.967 0.000
0.130 1.373 8.632
Pd Br N
1 4 2
Cartesian
0.000 0.000 0.000 Pd
1.401 4.788 3.041 Br
1.832 1.204 1.163 Br
3.365 7.137 7.469 Br
3.795 3.553 5.591 Br
1.470 4.655 5.610 N
3.726 3.686 3.022 N
```